Starting from a cell relaxed with PBE, the PXRD pattern of Rb2Re3Se6 was calculated for Cu Kα, 1.54184 Å.

The 10 most intense peaks (2θ from 10° to 80°), in order of rising 2θ:
- 12.1 deg, I 91
- 12.2 deg, I 100
- 14.0 deg, I 24
- 30.1 deg, I 16
- 30.7 deg, I 13
- 37.0 deg, I 14
- 44.3 deg, I 26
- 44.8 deg, I 34
- 46.1 deg, I 17
- 47.9 deg, I 14

```
data_Rb2Re3Se6
_chemical_formula_sum 'Rb16 Re24 Se48'
_cell_length_a 17.953
_cell_length_b 10.315
_cell_length_c 12.685
_cell_angle_alpha 90.00
_cell_angle_beta 91.17
_cell_angle_gamma 90.00
_space_group_name_H-M_alt 'C 1 2/c 1'
_space_group_IT_number 15
loop_
_space_group_symop_operation_xyz
'x,y,z'
'-x,-y,-z'
'-x,y,-z+1/2'
'x,-y,z+1/2'
'x+1/2,y+1/2,z'
'-x+1/2,-y+1/2,-z'
'-x+1/2,y+1/2,-z+1/2'
'x+1/2,-y+1/2,z+1/2'
loop_
_atom_site_label
_atom_site_fract_x
_atom_site_fract_y
_atom_site_fract_z
Rb1 0.000 0.113 0.250
Rb2 0.000 0.283 0.750
Rb3 0.113 0.253 0.019
Re1 0.161 0.342 0.477
Re2 0.210 0.176 0.624
Re3 0.211 0.111 0.418
Se1 0.035 0.461 0.423
Se2 0.089 0.132 0.519
Se3 0.152 0.080 0.800
Se4 0.165 0.403 0.671
Se5 0.166 0.280 0.284
Se6 0.240 0.459 0.936
```